Entry 1:
Simulated powder X-ray diffraction pattern of Cs3Nb2I9 for a wavelength of 1.5418 Å, from a DFT-relaxed cell (GGA-PBE, Alexandria).
No peak broadening, texture or thermal motion is included.

Main lines, sorted by position (2θ from 10° to 90°):
hkl 1 0 1, 6.936 Å, I 30.5
hkl 2 0 2, 3.468 Å, I 68.3
hkl 0 0 6, 3.348 Å, I 33.8
hkl 2 0 3, 3.235 Å, I 100.0
hkl 2 0 4, 2.976 Å, I 68.4
hkl 2 0 7, 2.267 Å, I 21.9
hkl 2 2 0, 2.134 Å, I 58.0
hkl 2 0 8, 2.077 Å, I 16.5
hkl 2 2 6, 1.799 Å, I 32.1
hkl 4 0 3, 1.781 Å, I 16.6

Lattice parameters (Å, degrees): 8.5339 8.5339 20.0904 90.00 90.00 120.00
Space group P6_3/mmc (No. 194)
One atom of each set of equivalent atoms:
Cs  0.0000  0.0000  0.2500 (multiplicity 2)
Cs  0.3333  0.6667  0.0645 (multiplicity 4)
Nb  0.3333  0.6667  0.6807 (multiplicity 4)
I  0.0063  0.5032  0.2500 (multiplicity 6)
I  0.1759  0.3517  0.5968 (multiplicity 12)


Entry 2:
Simulated powder X-ray diffraction pattern of RbNaTaTe4 for a wavelength of 1.5418 Å, from a DFT-relaxed cell (GGA-PBE, Alexandria).
No peak broadening, texture or thermal motion is included.

Main lines, sorted by position (2θ from 10° to 90°):
hkl 0 0 2, 5.093 Å, I 55.8
hkl 1 1 0, 5.047 Å, I 53.0
hkl 1 0 -2, 4.957 Å, I 58.2
hkl 1 1 1, 4.188 Å, I 57.6
hkl 2 0 -2, 3.549 Å, I 61.5
hkl 1 1 2, 3.261 Å, I 77.2
hkl 2 1 -2, 3.157 Å, I 69.0
hkl 1 2 0, 3.131 Å, I 100.0
hkl 1 0 -4, 2.672 Å, I 55.8
hkl 3 2 -2, 2.048 Å, I 64.1

Lattice parameters (Å, degrees): 7.758 6.913 10.695 90.00 107.77 90.00
Space group P2_1/m (No. 11)
One atom of each set of equivalent atoms:
Rb  0.230  0.250  0.434 (multiplicity 2)
Na  0.253  0.250  0.955 (multiplicity 2)
Ta  0.266  0.750  0.175 (multiplicity 2)
Te  0.059  0.750  0.329 (multiplicity 2)
Te  0.095  0.750  0.927 (multiplicity 2)
Te  0.475  0.517  0.762 (multiplicity 4)


Entry 3:
Simulated powder X-ray diffraction pattern of CsSbTeH3 for a wavelength of 1.5418 Å, from a DFT-relaxed cell (GGA-PBE, Alexandria).
No peak broadening, texture or thermal motion is included.

Main lines, sorted by position (2θ from 10° to 90°):
hkl 2 0 -1, 5.268 Å, I 40.8
hkl 1 1 0, 4.449 Å, I 37.6
hkl 2 0 0, 4.115 Å, I 60.1
hkl 2 0 -2, 3.754 Å, I 100.0
hkl 1 1 1, 3.078 Å, I 94.4
hkl 1 1 -2, 2.956 Å, I 36.8
hkl 3 1 -1, 2.891 Å, I 71.1
hkl 0 2 0, 2.644 Å, I 44.8
hkl 2 2 -2, 2.162 Å, I 44.2
hkl 3 1 1, 1.905 Å, I 44.6

Lattice parameters (Å, degrees): 10.581 5.289 7.552 90.00 128.95 90.00
Space group Cm (No. 8)
One atom of each set of equivalent atoms:
Cs  0.000  0.000  0.000 (multiplicity 2)
Sb  0.002  0.500  0.557 (multiplicity 2)
Te  0.354  0.500  0.366 (multiplicity 2)
H  0.266  0.000  0.889 (multiplicity 2)
H  0.321  0.000  0.018 (multiplicity 2)
H  0.434  0.000  0.718 (multiplicity 2)